[1]
Computed X-ray diffraction stick pattern of K4Cu4Cl10O for Cu Kα (λ = 1.5418 Å), from DFT lattice parameters and positions (PBE).
Neutral-atom scattering factors, no anomalous dispersion.

Structural model:
Unit cell a=14.8722 b=15.1824 c=9.0071 alpha=90.00 beta=103.06 gamma=90.00
Space group C2/c (No. 15)
One atom of each set of equivalent atoms:
K1 0.1288 0.0810 0.1283 [8 per cell]
K2 0.1584 0.3761 0.3701 [8 per cell]
Cu1 0.0639 0.2054 0.6275 [8 per cell]
Cu2 0.0904 0.3563 0.8808 [8 per cell]
Cl1 0.0000 0.0883 0.7500 [4 per cell]
Cl2 0.0000 0.4748 0.7500 [4 per cell]
Cl3 0.0480 0.2752 0.0809 [8 per cell]
Cl4 0.1230 0.1116 0.4809 [8 per cell]
Cl5 0.1922 0.2944 0.7141 [8 per cell]
Cl6 0.2026 0.4362 0.0330 [8 per cell]
O1 0.0000 0.2785 0.7500 [4 per cell]

Top 10 peaks for 15° ≤ 2θ ≤ 90°, in order of falling intensity:
| 2θ/deg | I_rel | (hkl) |
| --- | --- | --- |
| 31.07 | 100 | 4 2 1 |
| 24.24 | 82 | 2 2 -2 |
| 35.36 | 79 | 3 3 2 |
| 36.82 | 73 | 4 2 -3 |
| 31.79 | 69 | 2 4 -2 |
| 21.12 | 67 | 2 2 1 |
| 34.07 | 64 | 4 4 -1 |
| 16.92 | 63 | 2 2 0 |
| 34.22 | 62 | 4 4 0 |
| 51.65 | 62 | 6 6 -1 |

***

[2]
Computed X-ray diffraction stick pattern of K2PmCuCl6 for Cu Kα (λ = 1.5418 Å), from DFT lattice parameters and positions (PBE).
Neutral-atom scattering factors, no anomalous dispersion.

Structural model:
Unit cell a=7.7100 b=8.3270 c=12.1065 alpha=90.00 beta=129.23 gamma=90.00
Space group P2_1/c (No. 14)
One atom of each set of equivalent atoms:
K1 0.2319 0.0817 0.2475 [4 per cell]
Pm1 0.0000 0.0000 0.5000 [2 per cell]
Cu1 0.5000 0.0000 0.0000 [2 per cell]
Cl1 0.1134 0.2169 0.9512 [4 per cell]
Cl2 0.2470 0.6621 0.9501 [4 per cell]
Cl3 0.3804 0.0342 0.7843 [4 per cell]

Top 10 peaks for 15° ≤ 2θ ≤ 90°, in order of falling intensity:
| 2θ/deg | I_rel | (hkl) |
| --- | --- | --- |
| 15.66 | 100 | 1 1 -1 |
| 24.61 | 64 | 1 1 1 |
| 31.63 | 62 | 2 2 -2 |
| 34.34 | 40 | 1 3 -1 |
| 21.34 | 37 | 0 2 0 |
| 24.71 | 35 | 1 1 -3 |
| 18.93 | 33 | 0 0 2 |
| 41.61 | 33 | 3 1 -5 |
| 23.07 | 31 | 2 0 -2 |
| 41.41 | 30 | 3 1 -1 |

***

[3]
Computed X-ray diffraction stick pattern of KPuCuCl6 for Cu Kα (λ = 1.5418 Å), from DFT lattice parameters and positions (PBE).
Neutral-atom scattering factors, no anomalous dispersion.

Structural model:
Unit cell a=6.6793 b=6.6793 c=14.0928 alpha=90.00 beta=90.00 gamma=120.00
Space group P-31c (No. 163)
One atom of each set of equivalent atoms:
K1 0.0000 0.0000 0.0000 [2 per cell]
Pu1 0.3333 0.6667 0.2500 [2 per cell]
Cu1 0.3333 0.6667 0.7500 [2 per cell]
Cl1 0.0134 0.3715 0.6453 [12 per cell]

Top 10 peaks for 15° ≤ 2θ ≤ 90°, in order of falling intensity:
| 2θ/deg | I_rel | (hkl) |
| --- | --- | --- |
| 37.09 | 100 | 1 1 4 |
| 19.86 | 100 | 1 0 2 |
| 29.61 | 88 | 1 1 2 |
| 16.57 | 64 | 1 0 1 |
| 15.32 | 39 | 1 0 0 |
| 47.13 | 35 | 3 0 0 |
| 26.69 | 34 | 1 1 0 |
| 47.31 | 32 | 2 -1 6 |
| 24.41 | 32 | 1 0 3 |
| 48.99 | 29 | 3 0 2 |

***

[4]
Computed X-ray diffraction stick pattern of KRbCu2Cl6 for Cu Kα (λ = 1.5418 Å), from DFT lattice parameters and positions (PBE).
Neutral-atom scattering factors, no anomalous dispersion.

Structural model:
Unit cell a=11.2112 b=13.6842 c=9.2952 alpha=90.00 beta=111.57 gamma=90.00
Space group C2/c (No. 15)
One atom of each set of equivalent atoms:
K1 0.0000 0.0563 0.2500 [4 per cell]
Rb1 0.0000 0.3585 0.7500 [4 per cell]
Cu1 0.2264 0.3605 0.1868 [8 per cell]
Cl1 0.0918 0.1425 0.6146 [8 per cell]
Cl2 0.1562 0.2149 0.1303 [8 per cell]
Cl3 0.1868 0.4929 0.5991 [8 per cell]

Top 10 peaks for 15° ≤ 2θ ≤ 90°, in order of falling intensity:
| 2θ/deg | I_rel | (hkl) |
| --- | --- | --- |
| 20.88 | 100 | 2 2 -1 |
| 32.96 | 47 | 4 0 -2 |
| 20.55 | 34 | 0 0 2 |
| 32.23 | 34 | 2 2 -3 |
| 26.43 | 29 | 2 2 1 |
| 27.41 | 27 | 1 3 -2 |
| 31.76 | 25 | 3 1 1 |
| 21.34 | 24 | 2 0 -2 |
| 31.36 | 21 | 2 0 2 |
| 50.31 | 19 | 1 3 4 |